Starting from a structure optimized by DFT (GGA-PBE), the X-ray diffraction stick pattern of Ba2Ge3Pt9 was calculated for a wavelength of 1.5418 Å.

Most intense lines, 5° ≤ 2θ ≤ 70°, most intense first:
| 2θ (°) | d (Å) | I (rel.) | hkl |
| --- | --- | --- | --- |
| 33.5 | 2.672 | 100.0 | 2 2 -3 |
| 40.1 | 2.251 | 88.9 | 3 3 -1 |
| 35.2 | 2.547 | 65.4 | 6 0 -2 |
| 37.6 | 2.393 | 62.6 | 3 1 2 |
| 37.3 | 2.413 | 49.1 | 0 2 3 |
| 35.6 | 2.519 | 44.7 | 4 2 -3 |
| 43.4 | 2.083 | 34.8 | 5 1 1 |
| 36.3 | 2.472 | 32.4 | 5 1 -4 |
| 15.9 | 5.589 | 31.2 | 2 0 -2 |
| 13.7 | 6.481 | 29.4 | 1 1 0 |

Crystal structure
abc: 15.427 7.529 11.430
angles: 90.00 124.39 90.00
Space group C2/c (No. 15)
Symmetry-distinct sites (fractional):
Ba (0.162, 0.098, 0.224)
Ge (0.104, 0.223, 0.490)
Ge (0.250, 0.250, 0.000)
Pt (0.000, 0.372, 0.250)
Pt (0.074, 0.098, 0.896)
Pt (0.090, 0.443, 0.011)
Pt (0.101, 0.323, 0.715)
Pt (0.222, 0.424, 0.435)



Starting from a structure optimized by DFT (GGA-PBE), the X-ray diffraction stick pattern of BaGe3Pt6 was calculated for a wavelength of 1.5418 Å.

Most intense lines, 5° ≤ 2θ ≤ 70°, most intense first:
| 2θ (°) | d (Å) | I (rel.) | hkl |
| --- | --- | --- | --- |
| 31.9 | 2.802 | 100.0 | 0 2 1 |
| 42.4 | 2.131 | 74.0 | 2 0 5 |
| 43.6 | 2.076 | 57.9 | 1 1 6 |
| 27.1 | 3.287 | 48.5 | 1 1 0 |
| 51.1 | 1.787 | 43.9 | 0 2 7 |
| 33.5 | 2.675 | 39.8 | 0 0 6 |
| 58.8 | 1.570 | 31.8 | 2 2 3 |
| 16.5 | 5.365 | 29.7 | 1 0 1 |
| 48.0 | 1.897 | 17.9 | 3 0 0 |
| 38.8 | 2.322 | 17.4 | 0 2 4 |

Crystal structure
abc: 6.5736 6.5736 16.0480
angles: 90.00 90.00 120.00
Space group R3 (No. 146, hexagonal axes)
Symmetry-distinct sites (fractional):
Ba (0.0000, 0.0000, 0.0000)
Ge (0.0000, 0.0000, 0.2132)
Ge (0.0000, 0.0000, 0.3882)
Ge (0.0000, 0.0000, 0.7766)
Pt (0.0128, 0.2795, 0.4943)
Pt (0.1652, 0.3787, 0.3173)



Starting from a structure optimized by DFT (GGA-PBE), the X-ray diffraction stick pattern of BaGe4Pt5 was calculated for a wavelength of 1.5418 Å.

Most intense lines, 5° ≤ 2θ ≤ 70°, most intense first:
| 2θ (°) | d (Å) | I (rel.) | hkl |
| --- | --- | --- | --- |
| 42.5 | 2.127 | 100.0 | 0 2 2 |
| 30.0 | 2.979 | 85.4 | 0 3 1 |
| 14.1 | 6.280 | 76.9 | 1 1 0 |
| 28.4 | 3.140 | 64.6 | 2 2 0 |
| 38.8 | 2.322 | 62.6 | 2 3 1 |
| 50.0 | 1.825 | 61.8 | 2 5 1 |
| 41.6 | 2.173 | 55.3 | 3 0 1 |
| 44.4 | 2.039 | 51.3 | 3 2 1 |
| 34.7 | 2.586 | 39.5 | 2 2 1 |
| 32.0 | 2.795 | 39.0 | 2 1 1 |

Crystal structure
abc: 7.417 11.805 4.560
angles: 90.00 90.00 90.00
Space group Pmmn (No. 59, origin choice 2)
Symmetry-distinct sites (fractional):
Ba (0.250, 0.250, 0.052)
Ge (0.071, 0.750, 0.479)
Ge (0.250, 0.537, 0.770)
Pt (0.054, 0.560, 0.255)
Pt (0.250, 0.750, 0.976)



Starting from a structure optimized by DFT (GGA-PBE), the X-ray diffraction stick pattern of Ba2ThGe3Pt4 was calculated for a wavelength of 1.5418 Å.

Most intense lines, 5° ≤ 2θ ≤ 70°, most intense first:
| 2θ (°) | d (Å) | I (rel.) | hkl |
| --- | --- | --- | --- |
| 32.0 | 2.799 | 100.0 | 1 1 2 |
| 39.4 | 2.289 | 56.7 | 2 0 0 |
| 42.8 | 2.112 | 31.8 | 1 1 4 |
| 66.8 | 1.401 | 27.2 | 3 1 2 |
| 31.0 | 2.885 | 22.6 | 1 0 3 |
| 56.9 | 1.618 | 19.5 | 2 2 0 |
| 25.2 | 3.537 | 16.3 | 1 0 2 |
| 45.2 | 2.004 | 14.7 | 1 0 5 |
| 37.8 | 2.380 | 13.1 | 1 0 4 |
| 61.5 | 1.508 | 11.9 | 2 1 5 |

Crystal structure
abc: 4.577 4.577 11.147
angles: 90.00 90.00 90.00
Space group P-4m2 (No. 115)
Symmetry-distinct sites (fractional):
Ba (0.000, 0.500, 0.228)
Th (0.000, 0.000, 0.500)
Ge (0.000, 0.500, 0.889)
Ge (0.500, 0.500, 0.500)
Pt (0.000, 0.000, 0.000)
Pt (0.000, 0.500, 0.655)
Pt (0.500, 0.500, 0.000)



Starting from a structure optimized by DFT (GGA-PBE), the X-ray diffraction stick pattern of BaZnGePt6 was calculated for a wavelength of 1.5418 Å.

Most intense lines, 5° ≤ 2θ ≤ 70°, most intense first:
| 2θ (°) | d (Å) | I (rel.) | hkl |
| --- | --- | --- | --- |
| 31.7 | 2.826 | 100.0 | 2 2 0 |
| 36.4 | 2.467 | 79.0 | 0 4 0 |
| 46.2 | 1.967 | 46.9 | 2 2 4 |
| 27.6 | 3.227 | 36.9 | 1 0 3 |
| 37.6 | 2.395 | 29.8 | 0 2 4 |
| 42.1 | 2.144 | 19.3 | 2 0 4 |
| 32.7 | 2.739 | 19.0 | 0 0 4 |
| 50.4 | 1.809 | 18.2 | 3 2 3 |
| 22.6 | 3.933 | 17.0 | 1 1 2 |
| 46.3 | 1.961 | 16.3 | 1 4 3 |

Crystal structure
abc: 6.892 9.874 10.955
angles: 90.00 90.00 90.00
Space group Imma (No. 74)
Symmetry-distinct sites (fractional):
Ba (0.000, 0.250, 0.184)
Zn (0.250, 0.250, 0.750)
Ge (0.000, 0.000, 0.500)
Pt (0.000, 0.250, 0.463)
Pt (0.000, 0.250, 0.907)
Pt (0.211, 0.026, 0.874)



Starting from a structure optimized by DFT (GGA-PBE), the X-ray diffraction stick pattern of BaZr2GePt was calculated for a wavelength of 1.5418 Å.

Most intense lines, 5° ≤ 2θ ≤ 70°, most intense first:
| 2θ (°) | d (Å) | I (rel.) | hkl |
| --- | --- | --- | --- |
| 28.8 | 3.105 | 100.0 | 1 1 1 |
| 35.1 | 2.555 | 53.4 | 2 0 0 |
| 46.5 | 1.954 | 48.3 | 2 0 2 |
| 29.4 | 3.033 | 42.7 | 0 0 2 |
| 59.2 | 1.562 | 25.9 | 3 1 1 |
| 59.6 | 1.552 | 22.9 | 2 2 2 |
| 51.8 | 1.765 | 19.3 | 1 1 3 |
| 50.5 | 1.807 | 18.8 | 2 2 0 |
| 24.6 | 3.614 | 17.0 | 1 1 0 |
| 22.8 | 3.908 | 17.0 | 1 0 1 |

Crystal structure
abc: 5.111 5.111 6.066
angles: 90.00 90.00 90.00
Space group P4/mmm (No. 123)
Symmetry-distinct sites (fractional):
Ba (0.000, 0.000, 0.000)
Zr (0.000, 0.500, 0.500)
Ge (0.000, 0.000, 0.500)
Pt (0.500, 0.500, 0.000)



Starting from a structure optimized by DFT (GGA-PBE), the X-ray diffraction stick pattern of Ba2Ge7Rh12 was calculated for a wavelength of 1.5418 Å.

Most intense lines, 5° ≤ 2θ ≤ 70°, most intense first:
| 2θ (°) | d (Å) | I (rel.) | hkl |
| --- | --- | --- | --- |
| 35.2 | 2.551 | 100.0 | 2 1 1 |
| 43.6 | 2.077 | 27.2 | 1 3 1 |
| 45.3 | 2.003 | 24.8 | 0 0 2 |
| 47.6 | 1.911 | 18.1 | 1 4 0 |
| 67.8 | 1.383 | 12.3 | 1 4 2 |
| 38.2 | 2.359 | 10.9 | 3 0 1 |
| 41.2 | 2.189 | 10.8 | 4 0 0 |
| 50.9 | 1.796 | 10.7 | 3 2 1 |
| 45.1 | 2.009 | 10.4 | 3 2 0 |
| 37.0 | 2.428 | 8.6 | 1 3 0 |

Crystal structure
abc: 10.1101 10.1101 4.0062
angles: 90.00 90.00 120.00
Space group P-6 (No. 174)
Symmetry-distinct sites (fractional):
Ba (0.0000, 0.0000, 0.0000)
Ba (0.3333, 0.6667, 0.5000)
Ge (0.0569, 0.4405, 0.0000)
Ge (0.2758, 0.2367, 0.5000)
Ge (0.6667, 0.3333, 0.0000)
Rh (0.0471, 0.2807, 0.5000)
Rh (0.1075, 0.7138, 0.0000)
Rh (0.3937, 0.1865, 0.0000)
Rh (0.5493, 0.4359, 0.5000)



Starting from a structure optimized by DFT (GGA-PBE), the X-ray diffraction stick pattern of Ba2Ge2S5 was calculated for a wavelength of 1.5418 Å.

Most intense lines, 5° ≤ 2θ ≤ 70°, most intense first:
| 2θ (°) | d (Å) | I (rel.) | hkl |
| --- | --- | --- | --- |
| 23.8 | 3.742 | 100.0 | 1 1 1 |
| 26.5 | 3.363 | 74.1 | 4 0 -1 |
| 33.4 | 2.681 | 65.4 | 0 2 0 |
| 25.3 | 3.521 | 53.6 | 2 0 -2 |
| 28.1 | 3.171 | 48.6 | 4 0 0 |
| 30.1 | 2.971 | 41.0 | 1 1 -2 |
| 42.0 | 2.151 | 30.1 | 3 1 -3 |
| 44.2 | 2.047 | 27.3 | 4 2 0 |
| 42.4 | 2.133 | 26.7 | 2 2 -2 |
| 33.2 | 2.696 | 25.5 | 3 1 1 |

Crystal structure
abc: 13.545 5.361 7.169
angles: 90.00 110.52 90.00
Space group C2/m (No. 12)
Symmetry-distinct sites (fractional):
Ba (0.105, 0.000, 0.308)
Ge (0.156, 0.500, 0.883)
S (0.000, 0.500, 0.000)
S (0.150, 0.500, 0.562)
S (0.165, 0.000, 0.914)



Starting from a structure optimized by DFT (GGA-PBE), the X-ray diffraction stick pattern of Ba2GeS5 was calculated for a wavelength of 1.5418 Å.

Most intense lines, 5° ≤ 2θ ≤ 70°, most intense first:
| 2θ (°) | d (Å) | I (rel.) | hkl |
| --- | --- | --- | --- |
| 27.4 | 3.258 | 100.0 | 0 2 -1 |
| 32.5 | 2.757 | 61.1 | 2 0 -2 |
| 24.2 | 3.679 | 55.6 | -1 1 1 |
| 32.2 | 2.779 | 51.6 | 2 0 0 |
| 16.9 | 5.256 | 41.5 | 0 0 1 |
| 34.1 | 2.627 | 40.0 | 0 0 2 |
| 34.8 | 2.576 | 37.4 | 2 -2 0 |
| 27.0 | 3.301 | 35.6 | 1 1 0 |
| 46.7 | 1.944 | 21.6 | 2 2 -3 |
| 38.5 | 2.341 | 21.6 | 1 -1 2 |

Crystal structure
abc: 6.644 6.652 6.692
angles: 113.07 112.99 101.59
Space group P1 (No. 1)
Symmetry-distinct sites (fractional):
Ba (0.000, 0.000, 0.000)
Ba (0.489, 0.513, 0.002)
Ge (0.755, 0.266, 0.635)
S (0.010, 0.521, 0.048)
S (0.449, 0.959, 0.581)
S (0.503, 0.015, 0.930)
S (0.561, 0.459, 0.493)
S (0.949, 0.073, 0.492)



Starting from a structure optimized by DFT (GGA-PBE), the X-ray diffraction stick pattern of BaGe2S4 was calculated for a wavelength of 1.5418 Å.

Most intense lines, 5° ≤ 2θ ≤ 70°, most intense first:
| 2θ (°) | d (Å) | I (rel.) | hkl |
| --- | --- | --- | --- |
| 29.1 | 3.071 | 100.0 | 2 1 1 |
| 46.9 | 1.939 | 92.1 | 1 3 2 |
| 22.4 | 3.977 | 67.3 | 2 0 0 |
| 33.5 | 2.677 | 63.3 | 1 1 2 |
| 18.4 | 4.835 | 59.2 | 1 0 1 |
| 31.8 | 2.812 | 53.3 | 2 2 0 |
| 51.4 | 1.779 | 31.2 | 4 2 0 |
| 60.1 | 1.539 | 19.7 | 5 0 1 |
| 51.9 | 1.763 | 18.2 | 2 1 3 |
| 67.5 | 1.388 | 17.0 | 5 1 2 |

Crystal structure
abc: 7.954 7.954 6.088
angles: 90.00 90.00 90.00
Space group I4/m (No. 87)
Symmetry-distinct sites (fractional):
Ba (0.000, 0.000, 0.000)
Ge (0.000, 0.500, 0.250)
S (0.143, 0.314, 0.500)



Starting from a structure optimized by DFT (GGA-PBE), the X-ray diffraction stick pattern of Ba3GeS5 was calculated for a wavelength of 1.5418 Å.

Most intense lines, 5° ≤ 2θ ≤ 70°, most intense first:
| 2θ (°) | d (Å) | I (rel.) | hkl |
| --- | --- | --- | --- |
| 23.5 | 3.787 | 100.0 | 2 2 0 |
| 28.5 | 3.137 | 87.3 | 1 2 2 |
| 24.2 | 3.685 | 69.7 | 3 0 1 |
| 42.8 | 2.111 | 48.0 | 5 2 1 |
| 30.5 | 2.929 | 40.3 | 3 2 1 |
| 37.3 | 2.412 | 40.3 | 0 4 0 |
| 31.1 | 2.877 | 39.1 | 4 0 1 |
| 35.3 | 2.540 | 37.9 | 1 3 2 |
| 31.2 | 2.865 | 28.5 | 2 2 2 |
| 22.3 | 3.994 | 27.8 | 1 2 1 |

Crystal structure
abc: 12.182 9.649 8.775
angles: 90.00 90.00 90.00
Space group Pnma (No. 62)
Symmetry-distinct sites (fractional):
Ba (0.018, 0.250, 0.116)
Ba (0.184, 0.018, 0.578)
Ge (0.097, 0.750, 0.304)
S (0.000, 0.250, 0.483)
S (0.054, 0.561, 0.176)
S (0.222, 0.250, 0.849)
S (0.235, 0.750, 0.817)



Starting from a structure optimized by DFT (GGA-PBE), the X-ray diffraction stick pattern of BaGeSb2S was calculated for a wavelength of 1.5418 Å.

Most intense lines, 5° ≤ 2θ ≤ 70°, most intense first:
| 2θ (°) | d (Å) | I (rel.) | hkl |
| --- | --- | --- | --- |
| 28.4 | 3.142 | 100.0 | 2 0 0 |
| 41.5 | 2.174 | 70.3 | 2 0 2 |
| 14.7 | 6.021 | 70.1 | 0 0 1 |
| 14.1 | 6.283 | 65.5 | 1 0 0 |
| 24.9 | 3.575 | 58.4 | 1 1 1 |
| 29.7 | 3.011 | 44.6 | 0 0 2 |
| 32.1 | 2.785 | 43.4 | 2 0 1 |
| 51.1 | 1.788 | 38.0 | 2 2 2 |
| 40.6 | 2.222 | 37.5 | 2 2 0 |
| 31.8 | 2.810 | 19.1 | 2 1 0 |

Crystal structure
abc: 6.283 6.283 6.021
angles: 90.00 90.00 90.00
Space group P4/mmm (No. 123)
Symmetry-distinct sites (fractional):
Ba (0.000, 0.000, 0.000)
Ge (0.000, 0.000, 0.500)
Sb (0.000, 0.500, 0.000)
S (0.500, 0.500, 0.500)